Diffraction record for Sm2CoPtO6. The powder XRD pattern is theoretical, not measured: it uses a GGA+U-relaxed structure and Cu Kα (λ = 1.5418 Å).
Lines closer than 0.1° are merged.

Peak list (6 most intense, 10 to 90 degrees two-theta, low angle first)
2θ 30.6, I 206
2θ 32.2, I 1000
2θ 33.0, I 241
2θ 45.6, I 176
2θ 51.2, I 136
2θ 58.4, I 218

Structural model:
abc: 5.4269 5.8400 9.4897
angles: 90.00 124.86 90.00
Space group P2_1/c (No. 14)
Symmetry-distinct sites (fractional):
Sm 0.2267 0.0712 0.2494 x4
Co 0.0000 0.0000 0.5000 x2
Pt 0.5000 0.0000 0.0000 x2
O 0.1372 0.1931 0.9464 x4
O 0.2530 0.7019 0.9405 x4
O 0.3633 0.0416 0.7500 x4

=====

Diffraction record for Tb2CoPtO6. The powder XRD pattern is theoretical, not measured: it uses a GGA+U-relaxed structure and Cu Kα (λ = 1.5418 Å).
Lines closer than 0.1° are merged.

Peak list (6 most intense, 10 to 90 degrees two-theta, low angle first)
2θ 25.5, I 142
2θ 30.9, I 196
2θ 32.5, I 1000
2θ 33.5, I 235
2θ 46.2, I 161
2θ 47.1, I 128

Structural model:
abc: 5.3477 5.7820 9.3784
angles: 90.00 124.58 90.00
Space group P2_1/c (No. 14)
Symmetry-distinct sites (fractional):
Tb 0.2229 0.0745 0.2486 x4
Co 0.0000 0.0000 0.5000 x2
Pt 0.5000 0.0000 0.0000 x2
O 0.1287 0.1905 0.9428 x4
O 0.2503 0.6991 0.9351 x4
O 0.3747 0.0486 0.7507 x4

=====

Diffraction record for Rb5Co2O4. The powder XRD pattern is theoretical, not measured: it uses a GGA+U-relaxed structure and Cu Kα (λ = 1.5418 Å).
Lines closer than 0.1° are merged.

Peak list (6 most intense, 10 to 90 degrees two-theta, low angle first)
2θ 28.4, I 955
2θ 28.6, I 1000
2θ 29.9, I 970
2θ 30.3, I 890
2θ 30.7, I 972
2θ 32.5, I 923

Structural model:
abc: 7.0752 9.3783 9.7173
angles: 61.69 89.29 71.26
Space group P-1 (No. 2)
Symmetry-distinct sites (fractional):
Rb 0.0966 0.1666 0.2227 x2
Rb 0.1003 0.5628 0.2225 x2
Rb 0.2691 0.9502 0.9759 x2
Rb 0.3786 0.8342 0.6165 x2
Rb 0.3812 0.3552 0.6357 x2
Co 0.0150 0.2090 0.5773 x2
Co 0.3900 0.4184 0.9714 x2
O 0.1896 0.7974 0.3140 x2
O 0.2290 0.2080 0.4788 x2
O 0.3103 0.2644 0.9549 x2
O 0.3196 0.6399 0.9516 x2

=====

Diffraction record for RbCoO2. The powder XRD pattern is theoretical, not measured: it uses a GGA+U-relaxed structure and Cu Kα (λ = 1.5418 Å).
Lines closer than 0.1° are merged.

Peak list (6 most intense, 10 to 90 degrees two-theta, low angle first)
2θ 29.7, I 1000
2θ 42.5, I 113
2θ 52.8, I 377
2θ 61.7, I 161
2θ 70.0, I 156
2θ 85.5, I 182

Structural model:
abc: 8.4998 8.4998 8.4998
angles: 90.00 90.00 90.00
Space group Fd-3m (No. 227, origin choice 2)
Symmetry-distinct sites (fractional):
Rb 0.1250 0.1250 0.1250 x8
Co 0.1250 0.1250 0.6250 x8
O 0.0000 0.0000 0.5000 x16

=====

Diffraction record for CoRe2O8. The powder XRD pattern is theoretical, not measured: it uses a GGA+U-relaxed structure and Cu Kα (λ = 1.5418 Å).
Lines closer than 0.1° are merged.

Peak list (6 most intense, 10 to 90 degrees two-theta, low angle first)
2θ 22.1, I 1000
2θ 30.8, I 211
2θ 30.9, I 104
2θ 32.0, I 148
2θ 44.2, I 134
2θ 49.8, I 102

Structural model:
abc: 5.8056 6.7327 10.0323
angles: 89.91 89.73 89.96
Space group P-1 (No. 2)
Symmetry-distinct sites (fractional):
Co 0.0000 0.0000 0.0000 x1
Co 0.5000 0.0000 0.5000 x1
Re 0.0002 0.2652 0.3329 x2
Re 0.4991 0.7352 0.1662 x2
O 0.9995 0.4773 0.6670 x2
O 0.0058 0.1787 0.1676 x2
O 0.2449 0.1778 0.4174 x2
O 0.2504 0.1781 0.9137 x2
O 0.2499 0.8216 0.5866 x2
O 0.2557 0.8215 0.0803 x2
O 0.4920 0.8226 0.3312 x2
O 0.4997 0.4775 0.1670 x2

=====

Diffraction record for CoRe2O12. The powder XRD pattern is theoretical, not measured: it uses a GGA+U-relaxed structure and Cu Kα (λ = 1.5418 Å).
Lines closer than 0.1° are merged.

Peak list (6 most intense, 10 to 90 degrees two-theta, low angle first)
2θ 14.8, I 524
2θ 17.8, I 847
2θ 18.3, I 1000
2θ 23.4, I 683
2θ 25.9, I 904
2θ 26.9, I 679

Structural model:
abc: 6.5388 7.0849 7.1599
angles: 64.49 69.40 71.24
Space group P-1 (No. 2)
Symmetry-distinct sites (fractional):
Co 0.0000 0.0000 0.0000 x1
Re 0.4057 0.6789 0.7175 x2
O 0.0206 0.2643 0.8202 x2
O 0.1531 0.0840 0.1005 x2
O 0.2717 0.8919 0.8265 x2
O 0.2957 0.7209 0.5113 x2
O 0.3129 0.3102 0.3877 x2
O 0.3755 0.4256 0.9082 x2

=====

Diffraction record for CoReO4. The powder XRD pattern is theoretical, not measured: it uses a GGA+U-relaxed structure and Cu Kα (λ = 1.5418 Å).
Lines closer than 0.1° are merged.

Peak list (6 most intense, 10 to 90 degrees two-theta, low angle first)
2θ 19.3, I 672
2θ 26.8, I 701
2θ 28.1, I 629
2θ 36.9, I 1000
2θ 54.2, I 416
2θ 55.7, I 395

Structural model:
abc: 6.3469 6.6534 2.8687
angles: 90.00 90.00 90.00
Space group Cmmm (No. 65)
Symmetry-distinct sites (fractional):
Co 0.0000 0.0000 0.0000 x2
Re 0.0000 0.5000 0.5000 x2
O 0.0000 0.2899 0.0000 x4
O 0.2023 0.0000 0.5000 x4